For RbGa3P6O20, a PBE-relaxed structure gives the calculated powder diffractogram in this record (Cu Kα (λ = 1.5418 Å)).
No peak broadening, texture or thermal motion is included.

Top 8 peaks for 2θ = 10–90°, sorted by position:
2θ/deg	I/Imax
19.72	78
22.02	96
23.05	56
23.20	100
26.33	56
26.46	96
29.22	90
33.01	44

Structural model:
Unit cell a=8.3709 b=8.3709 c=12.2261 alpha=90.00 beta=90.00 gamma=105.30
Fractional coordinates of all 60 atoms:
Rb 0.0271 0.0271 0.0000
Rb 0.9729 0.9729 0.5000
Ga 0.2058 0.7942 0.2500
Ga 0.2586 0.7414 0.7500
Ga 0.3636 0.3636 0.5000
Ga 0.6364 0.6364 0.0000
Ga 0.7414 0.2586 0.2500
Ga 0.7942 0.2058 0.7500
P 0.1307 0.4072 0.1835
P 0.1970 0.3234 0.7232
P 0.2432 0.6502 0.0129
P 0.3234 0.1970 0.2768
P 0.3498 0.7568 0.4871
P 0.4072 0.1307 0.8165
P 0.5928 0.8693 0.3165
P 0.6502 0.2432 0.9871
P 0.6766 0.8030 0.7768
P 0.7568 0.3498 0.5129
P 0.8030 0.6766 0.2232
P 0.8693 0.5928 0.6835
O 0.0267 0.7297 0.6986
O 0.0311 0.2275 0.7676
O 0.1385 0.4659 0.0579
O 0.1642 0.5515 0.2606
O 0.1830 0.6603 0.8975
O 0.1962 0.7764 0.0878
O 0.2236 0.8038 0.4122
O 0.2275 0.0311 0.2324
O 0.2327 0.5081 0.7100
O 0.2351 0.2478 0.6127
O 0.2478 0.2351 0.3873
O 0.2703 0.9733 0.8014
O 0.2863 0.3278 0.1875
O 0.3278 0.2863 0.8125
O 0.3397 0.8170 0.6025
O 0.3528 0.5753 0.4755
O 0.4247 0.6472 0.0245
O 0.4485 0.8358 0.2394
O 0.4659 0.1385 0.9421
O 0.4919 0.7673 0.7900
O 0.5081 0.2327 0.2900
O 0.5341 0.8615 0.4421
O 0.5515 0.1642 0.7394
O 0.5753 0.3528 0.5245
O 0.6472 0.4247 0.9755
O 0.6603 0.1830 0.1025
O 0.6722 0.7137 0.3125
O 0.7137 0.6722 0.6875
O 0.7297 0.0267 0.3014
O 0.7522 0.7649 0.8873
O 0.7649 0.7522 0.1127
O 0.7673 0.4919 0.2100
O 0.7725 0.9689 0.7324
O 0.7764 0.1962 0.9122
O 0.8038 0.2236 0.5878
O 0.8170 0.3397 0.3975
O 0.8358 0.4485 0.7606
O 0.8615 0.5341 0.5579
O 0.9689 0.7725 0.2676
O 0.9733 0.2703 0.1986

For Ce4UO10, a PBE-relaxed structure gives the calculated powder diffractogram in this record (Cu Kα (λ = 1.5418 Å)).
No peak broadening, texture or thermal motion is included.

Top 8 peaks for 2θ = 10–90°, sorted by position:
2θ/deg	I/Imax
28.21	100
28.45	32
32.76	42
46.85	36
47.16	35
55.59	15
55.73	30
56.00	15

Structural model:
Unit cell a=15.8440 b=15.8440 c=15.8440 alpha=14.06 beta=14.06 gamma=14.06
Fractional coordinates of all 15 atoms:
Ce 0.0998 0.0998 0.0998
Ce 0.3001 0.3001 0.3001
Ce 0.6999 0.6999 0.6999
Ce 0.9002 0.9002 0.9002
U 0.5000 0.5000 0.5000
O 0.0511 0.0511 0.0511
O 0.1529 0.1529 0.1529
O 0.2478 0.2478 0.2478
O 0.3502 0.3502 0.3502
O 0.4547 0.4547 0.4547
O 0.5453 0.5453 0.5453
O 0.6498 0.6498 0.6498
O 0.7522 0.7522 0.7522
O 0.8471 0.8471 0.8471
O 0.9489 0.9489 0.9489

For Y4C5, a PBE-relaxed structure gives the calculated powder diffractogram in this record (Cu Kα (λ = 1.5418 Å)).
No peak broadening, texture or thermal motion is included.

Top 8 peaks for 2θ = 10–90°, sorted by position:
2θ/deg	I/Imax
28.43	100
30.89	38
31.55	59
32.79	81
36.52	40
37.31	64
53.99	42
57.63	39

Structural model:
Unit cell a=6.6090 b=11.9968 c=3.6851 alpha=90.00 beta=90.00 gamma=90.00
Fractional coordinates of all 18 atoms:
Y 0.1080 0.1948 0.0000
Y 0.2442 0.9568 0.5000
Y 0.2558 0.4568 0.5000
Y 0.3920 0.6948 0.0000
Y 0.6080 0.3052 0.0000
Y 0.7442 0.5432 0.5000
Y 0.7558 0.0432 0.5000
Y 0.8920 0.8052 0.0000
C 0.0000 0.0000 0.0000
C 0.0979 0.6550 0.5000
C 0.1370 0.7638 0.5000
C 0.3630 0.2638 0.5000
C 0.4021 0.1550 0.5000
C 0.5000 0.5000 0.0000
C 0.5979 0.8450 0.5000
C 0.6370 0.7362 0.5000
C 0.8630 0.2362 0.5000
C 0.9021 0.3450 0.5000

For Pm3Dy2Ru2, a PBE-relaxed structure gives the calculated powder diffractogram in this record (Cu Kα (λ = 1.5418 Å)).
No peak broadening, texture or thermal motion is included.

Top 8 peaks for 2θ = 10–90°, sorted by position:
2θ/deg	I/Imax
30.79	56
31.35	51
31.73	100
32.50	73
33.09	53
34.40	61
35.24	46
46.01	45

Structural model:
Unit cell a=12.1403 b=3.9449 c=8.5905 alpha=90.00 beta=113.12 gamma=90.00
Fractional coordinates of all 14 atoms:
Pm 0.0000 0.0000 0.0000
Pm 0.1198 0.0000 0.4284
Pm 0.3802 0.5000 0.5716
Pm 0.5000 0.5000 0.0000
Pm 0.6198 0.5000 0.4284
Pm 0.8802 0.0000 0.5716
Dy 0.1692 0.5000 0.8151
Dy 0.3308 0.0000 0.1849
Dy 0.6692 0.0000 0.8151
Dy 0.8308 0.5000 0.1849
Ru 0.1824 0.5000 0.2217
Ru 0.3176 0.0000 0.7783
Ru 0.6824 0.0000 0.2217
Ru 0.8176 0.5000 0.7783

For CaYF6, a PBE-relaxed structure gives the calculated powder diffractogram in this record (Cu Kα (λ = 1.5418 Å)).
No peak broadening, texture or thermal motion is included.

Top 8 peaks for 2θ = 10–90°, sorted by position:
2θ/deg	I/Imax
16.25	31
23.06	100
27.71	70
41.25	22
43.49	76
47.13	30
51.61	20
55.55	28

Structural model:
Unit cell a=5.4544 b=5.4544 c=7.9742 alpha=90.00 beta=90.00 gamma=90.00
Fractional coordinates of all 16 atoms:
Ca 0.0000 0.0000 0.0000
Ca 0.0000 0.0000 0.5000
Y 0.5000 0.5000 0.2500
Y 0.5000 0.5000 0.7500
F 0.2142 0.2361 0.1760
F 0.2142 0.2361 0.8240
F 0.2361 0.7858 0.3240
F 0.2361 0.7858 0.6760
F 0.3195 0.3300 0.5000
F 0.3300 0.6805 0.0000
F 0.6700 0.3195 0.0000
F 0.6805 0.6700 0.5000
F 0.7639 0.2142 0.3240
F 0.7639 0.2142 0.6760
F 0.7858 0.7639 0.1760
F 0.7858 0.7639 0.8240

For Pm3Tm2Au7, a PBE-relaxed structure gives the calculated powder diffractogram in this record (Cu Kα (λ = 1.5418 Å)).
No peak broadening, texture or thermal motion is included.

Top 8 peaks for 2θ = 10–90°, sorted by position:
2θ/deg	I/Imax
27.26	14
31.99	27
33.18	50
35.45	42
38.19	100
49.34	33
62.62	24
65.47	21

Structural model:
Unit cell a=11.0050 b=11.0050 c=5.4005 alpha=90.00 beta=90.00 gamma=153.39
Fractional coordinates of all 12 atoms:
Pm 0.0000 0.0000 0.0000
Pm 0.1693 0.8307 0.0000
Pm 0.8307 0.1693 0.0000
Tm 0.3585 0.6415 0.5000
Tm 0.6415 0.3585 0.5000
Au 0.0748 0.9252 0.5000
Au 0.2211 0.7789 0.5000
Au 0.4108 0.5892 0.0000
Au 0.5000 0.5000 0.5000
Au 0.5892 0.4108 0.0000
Au 0.7789 0.2211 0.5000
Au 0.9252 0.0748 0.5000